Record 1
For Ac3ScCd4, a crystal structure in Alexandria, relaxed with GGA-PBE gives the calculated PXRD pattern in this record (a wavelength of 1.5418 Å).
Lines closer than 0.1° are merged.

Peak list (6 most intense, 2θ from 5° to 70°, by angle)
hkl 1 0 3, 28.33°, d 3.151, rel. 31; hkl 1 0 4, 31.61°, d 2.831, rel. 100; hkl 1 1 0, 33.48°, d 2.676, rel. 56; hkl 2 0 0, 48.07°, d 1.893, rel. 21; hkl 1 1 7, 50.67°, d 1.802, rel. 20; hkl 2 1 4, 58.68°, d 1.573, rel. 35

Cell and atoms:
```
data_Ac3ScCd4
_chemical_formula_sum 'Ac3 Sc1 Cd4'
_cell_length_a 3.7851
_cell_length_b 3.7851
_cell_length_c 17.0544
_cell_angle_alpha 90.00
_cell_angle_beta 90.00
_cell_angle_gamma 90.00
_space_group_name_H-M_alt 'P 4/m m m'
_space_group_IT_number 123
_space_group_name_Hall '-P 4 2'
loop_
_atom_site_label
_atom_site_type_symbol
_atom_site_fract_x
_atom_site_fract_y
_atom_site_fract_z
Ac1 Ac 0.0000 0.0000 0.0000
Ac2 Ac 0.0000 0.0000 0.2706
Sc1 Sc 0.0000 0.0000 0.5000
Cd1 Cd 0.5000 0.5000 0.1356
Cd2 Cd 0.5000 0.5000 0.4083
```

***

Record 2
For SmDy2Au, a crystal structure in Alexandria, relaxed with GGA-PBE gives the calculated PXRD pattern in this record (a wavelength of 1.5418 Å).
Lines closer than 0.1° are merged.

Peak list (6 most intense, 2θ from 5° to 70°, by angle)
hkl 1 1 2, 30.11°, d 2.968, rel. 100; hkl 1 3 1, 30.95°, d 2.890, rel. 48; hkl 0 4 1, 31.96°, d 2.800, rel. 37; hkl 2 0 0, 36.30°, d 2.475, rel. 48; hkl 1 3 2, 36.96°, d 2.432, rel. 42; hkl 1 1 3, 39.88°, d 2.261, rel. 30

Cell and atoms:
```
data_SmDy2Au
_chemical_formula_sum 'Sm4 Dy8 Au4'
_cell_length_a 4.9492
_cell_length_b 11.9991
_cell_length_c 7.8012
_cell_angle_alpha 90.00
_cell_angle_beta 90.00
_cell_angle_gamma 90.00
_space_group_name_H-M_alt 'C m c m'
_space_group_IT_number 63
_space_group_name_Hall '-C 2c 2'
loop_
_atom_site_label
_atom_site_type_symbol
_atom_site_fract_x
_atom_site_fract_y
_atom_site_fract_z
Sm1 Sm 0.0000 0.0461 0.2500
Dy1 Dy 0.0000 0.3553 0.0351
Au1 Au 0.0000 0.2038 0.7500
```

***

Record 3
For CsGeF4, a crystal structure in Alexandria, relaxed with GGA-PBE gives the calculated PXRD pattern in this record (a wavelength of 1.5418 Å).
Lines closer than 0.1° are merged.

Peak list (6 most intense, 2θ from 5° to 70°, by angle)
hkl 2 0 0, 22.25°, d 3.995, rel. 100; hkl 1 0 1, 23.57°, d 3.775, rel. 31; hkl 1 1 1, 26.11°, d 3.413, rel. 51; hkl 2 1 1, 32.64°, d 2.744, rel. 90; hkl 3 1 1, 41.50°, d 2.176, rel. 26; hkl 3 1 2, 56.32°, d 1.634, rel. 23

Cell and atoms:
```
data_CsGeF4
_chemical_formula_sum 'Cs2 Ge2 F8'
_cell_length_a 7.9893
_cell_length_b 7.9893
_cell_length_c 4.2826
_cell_angle_alpha 90.00
_cell_angle_beta 90.00
_cell_angle_gamma 90.00
_space_group_name_H-M_alt 'P 4/n m m'
_space_group_IT_number 129
loop_
_space_group_symop_operation_xyz
'x,y,z'
'-x,-y,-z'
'-y+1/2,x,z'
'y+1/2,-x,-z'
'-x+1/2,-y+1/2,z'
'x+1/2,y+1/2,-z'
'y,-x+1/2,z'
'-y,x+1/2,-z'
'x+1/2,-y,-z'
'-x+1/2,y,z'
'-y,-x,-z'
'y,x,z'
'-x,y+1/2,-z'
'x,-y+1/2,z'
'y+1/2,x+1/2,-z'
'-y+1/2,-x+1/2,z'
loop_
_atom_site_label
_atom_site_type_symbol
_atom_site_fract_x
_atom_site_fract_y
_atom_site_fract_z
Cs1 Cs 0.2500 0.2500 0.1865
Ge1 Ge 0.2500 0.7500 0.5000
F1 F 0.0461 0.7500 0.2819
```